Entry 1:
Diffraction record for Rb2CrO4. The XRD peak list is theoretical, not measured: it uses a cell relaxed with GGA+U and Cu Kα.
Lines closer than 0.1° are merged.

Crystal structure
Unit cell a=8.143 b=6.205 c=10.977 alpha=90.00 beta=90.00 gamma=90.00
Element x y z (fractional)
Rb  0.012  0.250  0.198
Rb  0.170  0.750  0.415
Rb  0.330  0.250  0.915
Rb  0.488  0.750  0.698
Rb  0.512  0.250  0.302
Rb  0.670  0.750  0.085
Rb  0.830  0.250  0.585
Rb  0.988  0.750  0.802
Cr  0.231  0.750  0.079
Cr  0.269  0.250  0.579
Cr  0.731  0.750  0.421
Cr  0.769  0.250  0.921
O  0.027  0.750  0.083
O  0.197  0.030  0.648
O  0.197  0.470  0.648
O  0.204  0.250  0.434
O  0.296  0.750  0.934
O  0.303  0.530  0.148
O  0.303  0.970  0.148
O  0.473  0.250  0.583
O  0.527  0.750  0.417
O  0.697  0.030  0.852
O  0.697  0.470  0.852
O  0.704  0.250  0.066
O  0.796  0.750  0.566
O  0.803  0.530  0.352
O  0.803  0.970  0.352
O  0.973  0.250  0.917

The 8 most intense peaks (2θ from 10° to 80°), in order of falling intensity:
| 2θ (°) | I/Imax |
| --- | --- |
| 28.3 | 100 |
| 27.4 | 84 |
| 28.8 | 68 |
| 27.3 | 38 |
| 24.3 | 35 |
| 40.1 | 33 |
| 34.0 | 26 |
| 49.5 | 24 |

=====

Entry 2:
Diffraction record for Co7O12. The XRD peak list is theoretical, not measured: it uses a cell relaxed with GGA+U and Cu Kα.
Lines closer than 0.1° are merged.

Crystal structure
Unit cell a=4.964 b=4.964 c=9.623 alpha=96.17 beta=96.17 gamma=120.72
Element x y z (fractional)
Co  0.000  0.000  0.000
Co  0.197  0.803  0.500
Co  0.435  0.015  0.227
Co  0.531  0.469  0.500
Co  0.677  0.323  0.000
Co  0.865  0.135  0.500
Co  0.985  0.565  0.773
O  0.030  0.716  0.110
O  0.163  0.095  0.398
O  0.224  0.515  0.610
O  0.284  0.970  0.890
O  0.385  0.308  0.116
O  0.485  0.776  0.390
O  0.621  0.201  0.616
O  0.692  0.615  0.884
O  0.725  0.052  0.104
O  0.799  0.379  0.384
O  0.905  0.837  0.602
O  0.948  0.275  0.896

The 8 most intense peaks (2θ from 10° to 80°), in order of falling intensity:
| 2θ (°) | I/Imax |
| --- | --- |
| 44.1 | 100 |
| 18.9 | 79 |
| 65.7 | 49 |
| 24.9 | 49 |
| 46.1 | 47 |
| 20.6 | 28 |
| 38.3 | 27 |
| 38.8 | 24 |

=====

Entry 3:
Diffraction record for Fe9PO12. The XRD peak list is theoretical, not measured: it uses a cell relaxed with GGA+U and Cu Kα.
Lines closer than 0.1° are merged.

Crystal structure
Unit cell a=3.104 b=13.641 c=13.641 alpha=25.44 beta=90.00 gamma=90.00
Element x y z (fractional)
Fe  0.000  0.000  0.000
Fe  0.000  0.169  0.169
Fe  0.000  0.349  0.349
Fe  0.000  0.673  0.673
Fe  0.500  0.003  0.513
Fe  0.500  0.340  0.829
Fe  0.500  0.466  0.466
Fe  0.500  0.513  0.003
Fe  0.500  0.829  0.340
P  0.500  0.876  0.876
O  0.000  0.087  0.087
O  0.000  0.271  0.271
O  0.000  0.424  0.424
O  0.000  0.598  0.598
O  0.000  0.750  0.750
O  0.000  0.906  0.906
O  0.500  0.060  0.627
O  0.500  0.243  0.768
O  0.500  0.418  0.931
O  0.500  0.627  0.060
O  0.500  0.768  0.243
O  0.500  0.931  0.418

The 8 most intense peaks (2θ from 10° to 80°), in order of falling intensity:
| 2θ (°) | I/Imax |
| --- | --- |
| 41.8 | 100 |
| 59.8 | 87 |
| 32.7 | 48 |
| 40.7 | 45 |
| 34.0 | 43 |
| 36.1 | 40 |
| 33.7 | 40 |
| 35.3 | 35 |

=====

Entry 4:
Diffraction record for PbWO4. The XRD peak list is theoretical, not measured: it uses a cell relaxed with GGA+U and Cu Kα.
Lines closer than 0.1° are merged.

Crystal structure
Unit cell a=5.687 b=5.108 c=13.953 alpha=90.00 beta=109.45 gamma=90.00
Element x y z (fractional)
Pb  0.174  0.207  0.154
Pb  0.174  0.293  0.654
Pb  0.826  0.707  0.346
Pb  0.826  0.793  0.846
W  0.394  0.250  0.425
W  0.394  0.250  0.925
W  0.606  0.750  0.075
W  0.606  0.750  0.575
O  0.093  0.118  0.348
O  0.093  0.382  0.848
O  0.271  0.550  0.478
O  0.271  0.950  0.978
O  0.389  0.061  0.559
O  0.389  0.439  0.059
O  0.471  0.114  0.816
O  0.471  0.386  0.316
O  0.529  0.614  0.684
O  0.529  0.886  0.184
O  0.611  0.561  0.941
O  0.611  0.939  0.441
O  0.729  0.050  0.022
O  0.729  0.450  0.522
O  0.907  0.618  0.152
O  0.907  0.882  0.652

The 8 most intense peaks (2θ from 10° to 80°), in order of falling intensity:
| 2θ (°) | I/Imax |
| --- | --- |
| 24.1 | 100 |
| 24.7 | 63 |
| 32.4 | 42 |
| 32.0 | 32 |
| 31.6 | 30 |
| 26.7 | 29 |
| 30.3 | 24 |
| 35.1 | 24 |

=====

Entry 5:
Diffraction record for NaMgCr3O8. The XRD peak list is theoretical, not measured: it uses a cell relaxed with GGA+U and Cu Kα.
Lines closer than 0.1° are merged.

Crystal structure
Unit cell a=5.251 b=5.251 c=6.581 alpha=90.41 beta=90.41 gamma=65.12
Element x y z (fractional)
Na  0.000  0.000  0.000
Mg  0.659  0.659  0.731
Cr  0.345  0.345  0.719
Cr  0.637  0.637  0.253
Cr  0.998  0.998  0.492
O  0.223  0.223  0.522
O  0.248  0.724  0.708
O  0.268  0.268  0.942
O  0.278  0.771  0.280
O  0.723  0.723  0.024
O  0.724  0.248  0.708
O  0.768  0.768  0.465
O  0.771  0.278  0.280

The 8 most intense peaks (2θ from 10° to 80°), in order of falling intensity:
| 2θ (°) | I/Imax |
| --- | --- |
| 34.3 | 100 |
| 23.0 | 89 |
| 33.0 | 82 |
| 31.7 | 71 |
| 24.3 | 61 |
| 33.2 | 61 |
| 13.5 | 57 |
| 59.9 | 34 |